(1)
Starting from a crystal structure in the Materials Project, relaxed with GGA+U, the powder diffractogram of Cs2Zr2MnMo6O24 was calculated for Cu Kα (weighted mean of Kα1 and Kα2).
Neutral-atom scattering factors, no anomalous dispersion.

Crystal structure
abc: 8.958 8.971 8.978
angles: 100.09 100.28 100.12
Space group P-1 (No. 2)
Symmetry-distinct sites (fractional):
Cs1 0.167 0.168 0.168 [2 per cell]
Zr1 0.500 0.000 0.500 [1 per cell]
Zr2 0.500 0.500 0.000 [1 per cell]
Mn1 0.000 0.500 0.500 [1 per cell]
Mo1 0.200 0.655 0.213 [2 per cell]
Mo2 0.211 0.200 0.655 [2 per cell]
Mo3 0.343 0.788 0.800 [2 per cell]
O1 0.037 0.697 0.104 [2 per cell]
O2 0.089 0.305 0.561 [2 per cell]
O3 0.102 0.038 0.697 [2 per cell]
O4 0.142 0.524 0.330 [2 per cell]
O5 0.171 0.666 0.682 [2 per cell]
O6 0.302 0.897 0.962 [2 per cell]
O7 0.311 0.558 0.087 [2 per cell]
O8 0.323 0.833 0.339 [2 per cell]
O9 0.335 0.140 0.521 [2 per cell]
O10 0.339 0.323 0.833 [2 per cell]
O11 0.441 0.913 0.689 [2 per cell]
O12 0.478 0.665 0.860 [2 per cell]

The 8 most intense peaks (2θ from 10° to 80°), by angle:
2θ/deg  I (rel.)  hkl
20.6  15  0 0 2
21.0  22  0 1 -2
21.3  23  1 1 1
25.0  50  1 2 0
25.9  100  2 0 -2
31.1  35  -1 2 2
45.7  12  -4 2 2
51.3  13  2 4 0

(2)
Starting from a crystal structure in the Materials Project, relaxed with GGA+U, the powder diffractogram of Cs2MnO4 was calculated for Cu Kα (weighted mean of Kα1 and Kα2).
Neutral-atom scattering factors, no anomalous dispersion.

Crystal structure
abc: 6.375 6.628 8.670
angles: 89.98 89.93 61.35
Space group P1 (No. 1)
Symmetry-distinct sites (fractional):
Cs1 0.000 0.000 0.000 [1 per cell]
Cs2 0.051 0.894 0.501 [1 per cell]
Cs3 0.374 0.248 0.297 [1 per cell]
Cs4 0.678 0.638 0.799 [1 per cell]
Mn1 0.353 0.290 0.786 [1 per cell]
Mn2 0.697 0.601 0.283 [1 per cell]
O1 0.178 0.205 0.696 [1 per cell]
O2 0.210 0.578 0.797 [1 per cell]
O3 0.415 0.166 0.958 [1 per cell]
O4 0.440 0.690 0.190 [1 per cell]
O5 0.609 0.210 0.692 [1 per cell]
O6 0.640 0.716 0.459 [1 per cell]
O7 0.842 0.314 0.296 [1 per cell]
O8 0.866 0.690 0.188 [1 per cell]

The 8 most intense peaks (2θ from 10° to 80°), by angle:
2θ/deg  I (rel.)  hkl
25.6  52  0 1 2
26.0  100  1 1 2
26.9  93  1 -1 0
28.0  50  2 1 0
37.2  22  0 2 2
38.3  34  2 2 2
47.2  17  -2 1 2
50.3  21  1 2 4

(3)
Starting from a crystal structure in the Materials Project, relaxed with GGA+U, the powder diffractogram of Cs2MnO4 was calculated for Cu Kα (weighted mean of Kα1 and Kα2).
Neutral-atom scattering factors, no anomalous dispersion.

Crystal structure
abc: 8.579 6.410 11.391
angles: 90.00 90.00 90.00
Space group Pnma (No. 62)
Symmetry-distinct sites (fractional):
Cs1 0.013 0.250 0.193 [4 per cell]
Cs2 0.169 0.750 0.411 [4 per cell]
Mn1 0.236 0.750 0.080 [4 per cell]
O1 0.043 0.750 0.085 [4 per cell]
O2 0.193 0.039 0.647 [8 per cell]
O3 0.208 0.250 0.440 [4 per cell]

The 8 most intense peaks (2θ from 10° to 80°), by angle:
2θ/deg  I (rel.)  hkl
23.3  64  1 1 2
26.0  39  2 0 2
26.2  100  2 1 1
27.3  94  0 1 3
27.8  72  0 2 0
32.3  31  3 0 1
38.5  32  2 2 2
47.2  28  3 1 4